# 1
# NaYO
Computed XRD peak list, Cu Kα, 1.54184 Å. Input: DFT lattice parameters and positions (GGA-PBE).
Peak positions follow from Bragg's law for the DFT cell and can differ from measured ones.

Atomic structure:
Cell: 3.2278 6.0730 7.0627 Å, 90.00 90.17 90.00°
Space group P2_1/m (No. 11)
Symmetry-distinct sites (fractional):
1 Na 0.0044 0.2500 0.4093 x2
2 Y 0.4995 0.2500 0.9082 x2
3 O 0.0000 0.0000 0.0000 x2

Principal peaks in the range 10 to 90 degrees two-theta, in order of rising 2θ:
- 2θ 12.53, rel. 100
- 2θ 19.28, rel. 18
- 2θ 25.22, rel. 15
- 2θ 29.25, rel. 54
- 2θ 29.41, rel. 23
- 2θ 30.45, rel. 28
- 2θ 33.92, rel. 26
- 2θ 40.78, rel. 20
- 2θ 42.85, rel. 42
- 2θ 50.20, rel. 13


# 2
# Na10Zn4O9
Computed XRD peak list, Cu Kα, 1.54184 Å. Input: DFT lattice parameters and positions (GGA-PBE).
Peak positions follow from Bragg's law for the DFT cell and can differ from measured ones.

Atomic structure:
Cell: 13.6921 10.8977 8.7380 Å, 90.00 106.10 90.00°
Space group C2 (No. 5)
Symmetry-distinct sites (fractional):
1 Na 0.0000 0.0000 0.0000 x2
2 Na 0.0000 0.0719 0.5000 x2
3 Na 0.0000 0.2964 0.0000 x2
4 Na 0.0000 0.5367 0.5000 x2
5 Na 0.0618 0.5837 0.2095 x4
6 Na 0.1236 0.0942 0.2923 x4
7 Na 0.1236 0.7926 0.0615 x4
8 Na 0.1247 0.9406 0.7733 x4
9 Na 0.1412 0.6677 0.7722 x4
10 Na 0.2041 0.4502 0.6343 x4
11 Na 0.2214 0.3295 0.3591 x4
12 Na 0.2254 0.1335 0.6248 x4
13 Zn 0.0312 0.2943 0.6686 x4
14 Zn 0.0841 0.8048 0.4056 x4
15 Zn 0.1800 0.1502 0.9668 x4
16 Zn 0.1859 0.4488 0.9706 x4
17 O 0.0081 0.7923 0.8044 x4
18 O 0.0445 0.1432 0.8058 x4
19 O 0.0661 0.4544 0.7769 x4
20 O 0.1076 0.2794 0.4952 x4
21 O 0.1454 0.9541 0.5078 x4
22 O 0.1469 0.6511 0.5049 x4
23 O 0.1867 0.9938 0.1042 x4
24 O 0.1988 0.6006 0.1091 x4
25 O 0.2064 0.2980 0.1019 x4

Principal peaks in the range 10 to 90 degrees two-theta, in order of rising 2θ:
- 2θ 14.62, rel. 67
- 2θ 21.17, rel. 53
- 2θ 21.70, rel. 100
- 2θ 35.09, rel. 42
- 2θ 35.26, rel. 85
- 2θ 35.57, rel. 90
- 2θ 35.67, rel. 41
- 2θ 35.87, rel. 38
- 2θ 40.86, rel. 39
- 2θ 50.01, rel. 58


# 3
# NaZn6O6
Computed XRD peak list, Cu Kα, 1.54184 Å. Input: DFT lattice parameters and positions (GGA-PBE).
Peak positions follow from Bragg's law for the DFT cell and can differ from measured ones.

Atomic structure:
Cell: 5.7412 5.7412 5.7412 Å, 90.00 90.00 90.00°
Space group Pm-3 (No. 200)
Symmetry-distinct sites (fractional):
1 Na 0.0000 0.0000 0.0000 x1
2 Zn 0.0000 0.2557 0.5000 x6
3 O 0.0000 0.5000 0.2454 x6

Principal peaks in the range 10 to 90 degrees two-theta, in order of rising 2θ:
- 2θ 21.89, rel. 82
- 2θ 31.16, rel. 29
- 2θ 34.95, rel. 100
- 2θ 38.41, rel. 63
- 2θ 50.25, rel. 16
- 2θ 55.44, rel. 41
- 2θ 57.91, rel. 25
- 2θ 60.32, rel. 30
- 2θ 64.97, rel. 22
- 2θ 75.95, rel. 21


# 4
# Na3Os
Computed XRD peak list, Cu Kα, 1.54184 Å. Input: DFT lattice parameters and positions (GGA-PBE).
Peak positions follow from Bragg's law for the DFT cell and can differ from measured ones.

Atomic structure:
Cell: 9.3352 9.3352 4.8751 Å, 90.00 90.00 90.00°
Space group P4_2/mnm (No. 136)
Symmetry-distinct sites (fractional):
1 Na 0.0347 0.3050 0.0000 x8
2 Na 0.1223 0.8777 0.5000 x4
3 Os 0.2073 0.2073 0.5000 x4

Principal peaks in the range 10 to 90 degrees two-theta, in order of rising 2θ:
- 2θ 19.01, rel. 81
- 2θ 21.28, rel. 33
- 2θ 22.67, rel. 100
- 2θ 34.18, rel. 57
- 2θ 35.55, rel. 62
- 2θ 36.88, rel. 22
- 2θ 39.41, rel. 26
- 2θ 39.81, rel. 19
- 2θ 41.81, rel. 22
- 2θ 56.33, rel. 20


# 5
# NaPr8Os2
Computed XRD peak list, Cu Kα, 1.54184 Å. Input: DFT lattice parameters and positions (GGA-PBE).
Peak positions follow from Bragg's law for the DFT cell and can differ from measured ones.

Atomic structure:
Cell: 15.8581 7.1011 6.6018 Å, 90.00 97.42 90.00°
Space group C2/m (No. 12)
Symmetry-distinct sites (fractional):
1 Na 0.0000 0.0000 0.0000 x2
2 Pr 0.0722 0.5000 0.8338 x4
3 Pr 0.1351 0.2480 0.3895 x8
4 Pr 0.2075 0.0000 0.8777 x4
5 Os 0.2270 0.5000 0.6955 x4

Principal peaks in the range 10 to 90 degrees two-theta, in order of rising 2θ:
- 2θ 11.25, rel. 100
- 2θ 28.60, rel. 49
- 2θ 30.15, rel. 52
- 2θ 30.92, rel. 45
- 2θ 31.27, rel. 30
- 2θ 31.48, rel. 47
- 2θ 32.50, rel. 48
- 2θ 34.02, rel. 61
- 2θ 35.20, rel. 36
- 2θ 36.45, rel. 29


# 6
# NaOsRh
Computed XRD peak list, Cu Kα, 1.54184 Å. Input: DFT lattice parameters and positions (GGA-PBE).
Peak positions follow from Bragg's law for the DFT cell and can differ from measured ones.

Atomic structure:
Cell: 4.3322 4.3322 5.9536 Å, 90.00 90.00 120.00°
Space group P6/mmm (No. 191)
Symmetry-distinct sites (fractional):
1 Na 0.3333 0.6667 0.0000 x2
2 Os 0.3333 0.6667 0.5000 x2
3 Rh 0.0000 0.0000 0.2859 x2

Principal peaks in the range 10 to 90 degrees two-theta, in order of rising 2θ:
- 2θ 14.88, rel. 100
- 2θ 28.11, rel. 13
- 2θ 38.61, rel. 69
- 2θ 41.70, rel. 69
- 2θ 44.51, rel. 40
- 2θ 52.17, rel. 25
- 2θ 58.12, rel. 21
- 2θ 74.05, rel. 20
- 2θ 76.11, rel. 12
- 2θ 77.87, rel. 17


# 7
# NaOsRh
Computed XRD peak list, Cu Kα, 1.54184 Å. Input: DFT lattice parameters and positions (GGA-PBE).
Peak positions follow from Bragg's law for the DFT cell and can differ from measured ones.

Atomic structure:
Cell: 5.2704 8.0242 9.2545 Å, 90.00 90.00 90.00°
Space group Fmmm (No. 69)
Symmetry-distinct sites (fractional):
1 Na 0.0000 0.1503 0.0000 x8
2 Os 0.0000 0.0000 0.3703 x8
3 Rh 0.2500 0.2500 0.2500 x8

Principal peaks in the range 10 to 90 degrees two-theta, in order of rising 2θ:
- 2θ 19.18, rel. 25
- 2θ 22.35, rel. 100
- 2θ 35.53, rel. 60
- 2θ 38.99, rel. 44
- 2θ 40.98, rel. 66
- 2θ 45.23, rel. 78
- 2θ 45.62, rel. 18
- 2θ 52.64, rel. 28
- 2θ 71.86, rel. 30
- 2θ 88.88, rel. 24


# 8
# Na3OsRh3Se8
Computed XRD peak list, Cu Kα, 1.54184 Å. Input: DFT lattice parameters and positions (GGA-PBE).
Peak positions follow from Bragg's law for the DFT cell and can differ from measured ones.

Atomic structure:
Cell: 13.1270 7.5676 8.0159 Å, 90.00 123.16 90.00°
Space group C2/m (No. 12)
Symmetry-distinct sites (fractional):
1 Na 0.0000 0.0000 0.0000 x2
2 Na 0.2500 0.2500 0.0000 x4
3 Os 0.0000 0.0000 0.5000 x2
4 Rh 0.0000 0.5000 0.5000 x2
5 Rh 0.2500 0.2500 0.5000 x4
6 Se 0.0199 0.2495 0.3099 x8
7 Se 0.2299 0.0000 0.6903 x4
8 Se 0.2295 0.5000 0.6886 x4

Principal peaks in the range 10 to 90 degrees two-theta, in order of rising 2θ:
- 2θ 13.19, rel. 100
- 2θ 27.56, rel. 15
- 2θ 32.59, rel. 99
- 2θ 41.77, rel. 33
- 2θ 45.43, rel. 25
- 2θ 48.06, rel. 38
- 2θ 50.06, rel. 20
- 2θ 57.68, rel. 17
- 2θ 59.31, rel. 12
- 2θ 79.67, rel. 15